For Pu2MgReN5, a cell relaxed with GGA-PBE gives the simulated powder diffractogram in this record (Cu Kα X-rays).
Peak positions follow from Bragg's law for the DFT cell and can differ from measured ones.

Largest 8 diffraction maxima, by angle, 2θ from 10° to 80°:
2θ = 22.55°, rel. 25, (0 2 2); 2θ = 28.52°, rel. 26, (0 4 1); 2θ = 30.45°, rel. 68, (0 2 3); 2θ = 32.67°, rel. 62, (0 4 2); 2θ = 33.04°, rel. 100, (1 1 2); 2θ = 33.59°, rel. 76, (1 3 0); 2θ = 39.05°, rel. 53, (1 1 3); 2θ = 52.18°, rel. 32, (1 5 3)

Atomic structure:
Unit cell a=3.3536 b=13.2069 c=9.8302 alpha=90.00 beta=90.00 gamma=90.00
Space group Cmc2_1 (No. 36)
Inequivalent atoms, fractional coordinates:
Pu1 0.0000 0.1150 0.0000
Pu2 0.0000 0.1522 0.6083
Mg1 0.0000 0.2144 0.3168
Re1 0.0000 0.4731 0.7704
N1 0.0000 0.0504 0.3607
N2 0.0000 0.2812 0.9809
N3 0.0000 0.3232 0.6754
N4 0.0000 0.3738 0.3188
N5 0.0000 0.4852 0.0883

For Ac2Zn6Au9, a cell relaxed with GGA-PBE gives the simulated powder diffractogram in this record (Cu Kα X-rays).
Peak positions follow from Bragg's law for the DFT cell and can differ from measured ones.

Largest 8 diffraction maxima, by angle, 2θ from 10° to 80°:
2θ = 27.78°, rel. 57, (1 0 3); 2θ = 35.32°, rel. 100, (2 0 0); 2θ = 37.56°, rel. 87, (1 1 3); 2θ = 41.69°, rel. 79, (2 0 3); 2θ = 43.69°, rel. 30, (0 0 6); 2θ = 57.38°, rel. 46, (2 0 6); 2θ = 63.39°, rel. 32, (2 2 0); 2θ = 78.83°, rel. 28, (2 0 9)

Atomic structure:
Unit cell a=5.8693 b=5.8693 c=12.4323 alpha=90.00 beta=90.00 gamma=120.00
Space group P6/mmm (No. 191)
Inequivalent atoms, fractional coordinates:
Ac1 0.0000 0.0000 0.1848
Zn1 0.3333 0.6667 0.1655
Zn2 0.3333 0.6667 0.5000
Au1 0.0000 0.5000 0.0000
Au2 0.0000 0.5000 0.3346

- Which formula does entry 2 have?
  Ac2Zn6Au9